Diffraction record for Tb2S2O. The PXRD pattern is calculated, not measured: it uses the PBE geometry in Alexandria and λ = 1.5418 Å (Cu Kα).

The 10 most intense peaks (5 to 70 degrees two-theta), sorted by position:
2θ 20.1, rel. 41; 2θ 25.2, rel. 31; 2θ 26.2, rel. 48; 2θ 26.7, rel. 63; 2θ 28.8, rel. 76; 2θ 30.0, rel. 100; 2θ 38.7, rel. 33; 2θ 39.1, rel. 30; 2θ 41.6, rel. 30; 2θ 54.9, rel. 32

Structural model:
```
Tb2S2O
1.0
8.3267 0.0000 0.0000
0.0000 6.9590 0.0000
-1.1034 0.0000 6.8142
Tb S O
8 8 4
direct
0.0767 0.1421 0.3200 Tb
0.0767 0.3579 0.8200 Tb
0.3619 0.5540 0.2497 Tb
0.3619 0.9460 0.7497 Tb
0.6381 0.0540 0.2503 Tb
0.6381 0.4460 0.7503 Tb
0.9233 0.6421 0.1800 Tb
0.9233 0.8579 0.6800 Tb
0.1798 0.6360 0.5746 S
0.1798 0.8640 0.0746 S
0.4238 0.2235 0.4701 S
0.4238 0.2765 0.9701 S
0.5762 0.7235 0.0299 S
0.5762 0.7765 0.5299 S
0.8202 0.1360 0.9254 S
0.8202 0.3640 0.4254 S
0.1171 0.0874 0.6494 O
0.1171 0.4126 0.1494 O
0.8829 0.5874 0.8506 O
0.8829 0.9126 0.3506 O
```

=====

Diffraction record for Hf3ZrPa2N6. The PXRD pattern is calculated, not measured: it uses the PBE geometry in Alexandria and λ = 1.5418 Å (Cu Kα).

The 10 most intense peaks (5 to 70 degrees two-theta), sorted by position:
2θ 32.4, rel. 39; 2θ 33.2, rel. 36; 2θ 33.3, rel. 72; 2θ 38.4, rel. 100; 2θ 54.6, rel. 12; 2θ 54.8, rel. 23; 2θ 55.9, rel. 22; 2θ 56.1, rel. 11; 2θ 65.0, rel. 17; 2θ 66.3, rel. 11

Structural model:
```
Hf3ZrPa2N6
1.0
7.2859 -1.6390 0.0000
7.2859 1.6390 0.0000
-1.7228 0.0000 6.4971
Hf Zr Pa N
3 1 2 6
direct
0.0000 0.0000 0.0000 Hf
0.3369 0.3369 0.6666 Hf
0.6631 0.6631 0.3334 Hf
0.0000 0.0000 0.5000 Zr
0.3343 0.3343 0.1682 Pa
0.6657 0.6657 0.8318 Pa
0.1594 0.1594 0.1020 N
0.1704 0.1704 0.5694 N
0.4958 0.4958 0.7594 N
0.5042 0.5042 0.2406 N
0.8296 0.8296 0.4306 N
0.8406 0.8406 0.8980 N
```

=====

Diffraction record for Ca4Cd. The PXRD pattern is calculated, not measured: it uses the PBE geometry in Alexandria and λ = 1.5418 Å (Cu Kα).

The 10 most intense peaks (5 to 70 degrees two-theta), sorted by position:
2θ 17.2, rel. 70; 2θ 17.8, rel. 44; 2θ 28.4, rel. 24; 2θ 29.6, rel. 67; 2θ 30.8, rel. 100; 2θ 34.8, rel. 38; 2θ 37.7, rel. 31; 2θ 40.3, rel. 20; 2θ 54.9, rel. 19; 2θ 59.8, rel. 19

Structural model:
```
Ca4Cd
1.0
7.0335 0.0000 0.0000
0.0000 7.0335 0.0000
0.0000 0.0000 7.6019
Ca Cd
8 2
direct
0.1424 0.2647 0.3398 Ca
0.2353 0.3576 0.8398 Ca
0.2647 0.8576 0.6602 Ca
0.3576 0.7647 0.1602 Ca
0.6424 0.2353 0.1602 Ca
0.7353 0.1424 0.6602 Ca
0.7647 0.6424 0.8398 Ca
0.8576 0.7353 0.3398 Ca
0.0000 0.0000 0.0000 Cd
0.5000 0.5000 0.5000 Cd
```

=====

Diffraction record for ZrNbAu. The PXRD pattern is calculated, not measured: it uses the PBE geometry in Alexandria and λ = 1.5418 Å (Cu Kα).

The 10 most intense peaks (5 to 70 degrees two-theta), sorted by position:
2θ 9.2, rel. 33; 2θ 31.7, rel. 8; 2θ 36.5, rel. 57; 2θ 37.7, rel. 6; 2θ 38.1, rel. 100; 2θ 45.8, rel. 4; 2θ 52.5, rel. 20; 2θ 57.4, rel. 7; 2θ 66.7, rel. 38; 2θ 69.9, rel. 16

Structural model:
```
ZrNbAu
1.0
3.4855 0.0000 0.0000
0.0000 3.4855 0.0000
0.0000 0.0000 9.6326
Zr Nb Au
2 2 2
direct
0.2500 0.2500 0.2408 Zr
0.7500 0.7500 0.7592 Zr
0.2500 0.2500 0.5756 Nb
0.7500 0.7500 0.4244 Nb
0.2500 0.2500 0.9157 Au
0.7500 0.7500 0.0843 Au
```

=====

Diffraction record for Na3InSn2. The PXRD pattern is calculated, not measured: it uses the PBE geometry in Alexandria and λ = 1.5418 Å (Cu Kα).

The 10 most intense peaks (5 to 70 degrees two-theta), sorted by position:
2θ 8.3, rel. 36; 2θ 10.8, rel. 100; 2θ 28.8, rel. 80; 2θ 32.8, rel. 64; 2θ 33.1, rel. 56; 2θ 33.4, rel. 53; 2θ 36.1, rel. 59; 2θ 36.6, rel. 54; 2θ 43.6, rel. 28; 2θ 65.9, rel. 27

Structural model:
```
Na3InSn2
1.0
9.4682 -1.6722 0.0000
9.4682 1.6722 0.0000
-3.2483 0.0000 10.7162
Na In Sn
6 2 4
direct
0.0093 0.0093 0.3470 Na
0.2200 0.2200 0.1113 Na
0.3541 0.3541 0.3927 Na
0.6459 0.6459 0.6073 Na
0.7800 0.7800 0.8887 Na
0.9907 0.9907 0.6530 Na
0.4319 0.4319 0.8637 In
0.5681 0.5681 0.1363 In
0.1816 0.1816 0.3710 Sn
0.3980 0.3980 0.1173 Sn
0.6020 0.6020 0.8827 Sn
0.8184 0.8184 0.6290 Sn
```

=====

Diffraction record for PmSm3Ni. The PXRD pattern is calculated, not measured: it uses the PBE geometry in Alexandria and λ = 1.5418 Å (Cu Kα).

The 10 most intense peaks (5 to 70 degrees two-theta), sorted by position:
2θ 29.6, rel. 28; 2θ 30.3, rel. 26; 2θ 30.7, rel. 100; 2θ 31.1, rel. 62; 2θ 32.1, rel. 45; 2θ 33.0, rel. 23; 2θ 34.1, rel. 57; 2θ 34.9, rel. 22; 2θ 48.7, rel. 34; 2θ 58.9, rel. 43

Structural model:
```
PmSm3Ni
1.0
6.0492 -1.8684 0.0000
6.0492 1.8684 0.0000
-5.5698 0.0000 12.8408
Pm Sm Ni
2 6 2
direct
0.0000 0.0000 0.0000 Pm
0.1197 0.1197 0.2780 Pm
0.0099 0.0099 0.6536 Sm
0.3325 0.3325 0.7612 Sm
0.3361 0.3361 0.1342 Sm
0.6737 0.6737 0.5209 Sm
0.6778 0.6778 0.8925 Sm
0.8905 0.8905 0.3777 Sm
0.3544 0.3544 0.5120 Ni
0.6565 0.6565 0.1433 Ni
```

=====

Diffraction record for Ba3Ac3HoS8. The PXRD pattern is calculated, not measured: it uses the PBE geometry in Alexandria and λ = 1.5418 Å (Cu Kα).

The 10 most intense peaks (5 to 70 degrees two-theta), sorted by position:
2θ 12.1, rel. 26; 2θ 24.3, rel. 22; 2θ 25.1, rel. 58; 2θ 28.9, rel. 100; 2θ 40.7, rel. 37; 2θ 41.8, rel. 36; 2θ 48.9, rel. 24; 2θ 51.6, rel. 19; 2θ 66.9, rel. 16; 2θ 68.5, rel. 16

Structural model:
```
Ba3Ac3HoS8
1.0
4.3218 2.4952 7.3343
-4.3218 2.4952 7.3343
0.0000 -4.9903 7.3343
Ba Ac Ho S
3 3 1 8
direct
0.0000 0.5000 0.5000 Ba
0.5000 0.0000 0.5000 Ba
0.5000 0.5000 0.0000 Ba
0.0000 0.0000 0.5000 Ac
0.0000 0.5000 0.0000 Ac
0.5000 0.0000 0.0000 Ac
0.5000 0.5000 0.5000 Ho
0.2446 0.2446 0.2446 S
0.2613 0.7258 0.7258 S
0.2742 0.2742 0.7387 S
0.2742 0.7387 0.2742 S
0.7258 0.2613 0.7258 S
0.7258 0.7258 0.2613 S
0.7387 0.2742 0.2742 S
0.7554 0.7554 0.7554 S
```

=====

Diffraction record for La8Co2Ni. The PXRD pattern is calculated, not measured: it uses the PBE geometry in Alexandria and λ = 1.5418 Å (Cu Kα).

The 10 most intense peaks (5 to 70 degrees two-theta), sorted by position:
2θ 25.3, rel. 31; 2θ 26.1, rel. 28; 2θ 27.6, rel. 46; 2θ 29.1, rel. 84; 2θ 30.8, rel. 100; 2θ 31.1, rel. 60; 2θ 32.2, rel. 32; 2θ 38.2, rel. 29; 2θ 42.8, rel. 25; 2θ 53.7, rel. 29

Structural model:
```
La8Co2Ni
1.0
4.4803 -5.8069 0.0000
4.4803 5.8069 0.0000
-2.2594 0.0000 6.3323
La Co Ni
8 2 1
direct
0.0000 0.0000 0.0000 La
0.0179 0.3042 0.5961 La
0.1921 0.5516 0.2514 La
0.3042 0.0179 0.5961 La
0.4325 0.7263 0.8791 La
0.5516 0.1921 0.2514 La
0.7263 0.4325 0.8791 La
0.7370 0.7370 0.4491 La
0.0555 0.6796 0.7149 Co
0.6796 0.0555 0.7149 Co
0.3558 0.3558 0.9895 Ni
```